Diffraction record for LaVFeO6. The PXRD pattern is calculated, not measured: it uses a structure optimized by DFT (GGA+U) and CuKα.

Main lines, most intense first (15 to 90 degrees two-theta):
| 2theta | d_spacing | I/Imax |
| --- | --- | --- |
| 32.80 | 2.730 | 100 |
| 20.10 | 4.418 | 78 |
| 19.62 | 4.524 | 73 |
| 46.68 | 1.946 | 38 |
| 38.78 | 2.322 | 38 |
| 33.14 | 2.703 | 26 |
| 47.46 | 1.916 | 22 |
| 31.93 | 2.803 | 21 |
| 58.98 | 1.566 | 20 |
| 68.77 | 1.365 | 20 |
| 38.02 | 2.367 | 20 |
| 39.00 | 2.310 | 14 |

Structural model:
abc: 5.407 5.605 9.374
angles: 90.00 125.17 90.00
Fractional coordinates of all 18 atoms:
La 0.000 0.198 0.000
La 0.000 0.802 0.500
V 0.758 0.281 0.252
V 0.758 0.719 0.752
Fe 0.251 0.257 0.750
Fe 0.251 0.743 0.250
O 0.026 0.238 0.491
O 0.026 0.762 0.991
O 0.464 0.248 0.007
O 0.464 0.752 0.507
O 0.509 0.012 0.260
O 0.509 0.988 0.760
O 0.557 0.487 0.775
O 0.557 0.513 0.275
O 0.967 0.013 0.734
O 0.967 0.987 0.234
O 0.998 0.464 0.223
O 0.998 0.536 0.723

Diffraction record for LaVZnFeO6. The PXRD pattern is calculated, not measured: it uses a structure optimized by DFT (GGA+U) and CuKα.

Main lines, most intense first (15 to 90 degrees two-theta):
| 2theta | d_spacing | I/Imax |
| --- | --- | --- |
| 32.58 | 2.748 | 100 |
| 33.21 | 2.698 | 25 |
| 58.94 | 1.567 | 24 |
| 46.42 | 1.956 | 21 |
| 31.50 | 2.840 | 18 |
| 35.72 | 2.513 | 18 |
| 47.07 | 1.931 | 17 |
| 68.27 | 1.374 | 15 |
| 27.94 | 3.194 | 12 |
| 58.82 | 1.570 | 12 |
| 19.40 | 4.576 | 11 |
| 64.82 | 1.438 | 10 |

Structural model:
abc: 5.395 5.681 9.415
angles: 90.00 124.89 90.00
Fractional coordinates of all 20 atoms:
La 0.000 0.197 0.000
La 0.000 0.803 0.500
V 0.256 0.281 0.748
V 0.256 0.719 0.248
Zn 0.502 0.159 0.504
Zn 0.502 0.841 0.004
Fe 0.760 0.268 0.255
Fe 0.760 0.732 0.755
O 0.025 0.471 0.209
O 0.025 0.529 0.709
O 0.144 0.228 0.505
O 0.144 0.772 0.005
O 0.441 0.245 0.999
O 0.441 0.755 0.499
O 0.510 0.053 0.302
O 0.510 0.947 0.802
O 0.607 0.451 0.798
O 0.607 0.549 0.298
O 0.917 0.053 0.701
O 0.917 0.947 0.201

Diffraction record for Li3Mg2Fe19O32. The PXRD pattern is calculated, not measured: it uses a structure optimized by DFT (GGA+U) and CuKα.

Main lines, most intense first (15 to 90 degrees two-theta):
| 2theta | d_spacing | I/Imax |
| --- | --- | --- |
| 34.86 | 2.574 | 100 |
| 34.95 | 2.567 | 78 |
| 29.80 | 2.998 | 61 |
| 61.42 | 1.510 | 53 |
| 42.49 | 2.127 | 52 |
| 61.90 | 1.499 | 51 |
| 35.14 | 2.554 | 44 |
| 18.18 | 4.878 | 41 |
| 56.15 | 1.638 | 26 |
| 56.34 | 1.633 | 26 |
| 52.63 | 1.739 | 21 |
| 56.02 | 1.641 | 19 |

Structural model:
abc: 5.996 5.996 19.976
angles: 98.30 98.30 60.50
Fractional coordinates of all 56 atoms:
Li 0.000 0.000 0.000
Li 0.253 0.253 0.752
Li 0.503 0.503 0.503
Mg 0.287 0.287 0.349
Mg 0.528 0.528 0.091
Fe 0.002 0.505 0.000
Fe 0.010 0.502 0.503
Fe 0.029 0.029 0.598
Fe 0.127 0.127 0.877
Fe 0.222 0.222 0.154
Fe 0.252 0.753 0.752
Fe 0.258 0.754 0.251
Fe 0.380 0.380 0.628
Fe 0.479 0.479 0.906
Fe 0.502 0.010 0.503
Fe 0.505 0.002 0.000
Fe 0.628 0.628 0.377
Fe 0.729 0.729 0.656
Fe 0.752 0.752 0.251
Fe 0.753 0.252 0.752
Fe 0.754 0.258 0.251
Fe 0.776 0.776 0.845
Fe 0.879 0.879 0.119
Fe 0.979 0.979 0.409
O 0.056 0.587 0.192
O 0.057 0.057 0.191
O 0.061 0.061 0.695
O 0.087 0.564 0.689
O 0.159 0.691 0.062
O 0.192 0.192 0.058
O 0.193 0.672 0.565
O 0.198 0.198 0.564
O 0.308 0.308 0.940
O 0.312 0.312 0.449
O 0.314 0.835 0.939
O 0.337 0.816 0.437
O 0.416 0.943 0.813
O 0.444 0.444 0.808
O 0.454 0.454 0.311
O 0.455 0.915 0.310
O 0.559 0.559 0.691
O 0.564 0.087 0.689
O 0.568 0.568 0.195
O 0.587 0.056 0.192
O 0.672 0.193 0.565
O 0.691 0.159 0.062
O 0.696 0.696 0.558
O 0.700 0.700 0.060
O 0.810 0.810 0.440
O 0.810 0.810 0.942
O 0.816 0.337 0.437
O 0.835 0.314 0.939
O 0.915 0.455 0.310
O 0.941 0.941 0.307
O 0.943 0.416 0.813
O 0.946 0.946 0.812

Diffraction record for LiMgFe10O16. The PXRD pattern is calculated, not measured: it uses a structure optimized by DFT (GGA+U) and CuKα.

Main lines, most intense first (15 to 90 degrees two-theta):
| 2theta | d_spacing | I/Imax |
| --- | --- | --- |
| 35.40 | 2.536 | 100 |
| 35.24 | 2.547 | 98 |
| 43.07 | 2.100 | 62 |
| 62.13 | 1.494 | 62 |
| 35.71 | 2.515 | 57 |
| 62.94 | 1.477 | 57 |
| 30.26 | 2.953 | 55 |
| 18.50 | 4.795 | 38 |
| 56.92 | 1.618 | 36 |
| 57.25 | 1.609 | 26 |
| 56.71 | 1.623 | 24 |
| 29.90 | 2.988 | 20 |

Structural model:
abc: 10.192 10.192 10.192
angles: 34.09 34.09 34.09
Fractional coordinates of all 28 atoms:
Li 0.000 0.000 0.000
Mg 0.813 0.813 0.813
Fe 0.192 0.192 0.192
Fe 0.248 0.248 0.755
Fe 0.248 0.755 0.248
Fe 0.250 0.752 0.752
Fe 0.309 0.309 0.309
Fe 0.502 0.502 0.502
Fe 0.689 0.689 0.689
Fe 0.752 0.250 0.752
Fe 0.752 0.752 0.250
Fe 0.755 0.248 0.248
O 0.112 0.112 0.637
O 0.112 0.637 0.112
O 0.121 0.121 0.121
O 0.163 0.607 0.607
O 0.369 0.884 0.884
O 0.377 0.377 0.377
O 0.400 0.400 0.838
O 0.400 0.838 0.400
O 0.607 0.163 0.607
O 0.607 0.607 0.163
O 0.621 0.621 0.621
O 0.637 0.112 0.112
O 0.838 0.400 0.400
O 0.883 0.883 0.883
O 0.884 0.369 0.884
O 0.884 0.884 0.369

Diffraction record for LiMg6FeO8. The PXRD pattern is calculated, not measured: it uses a structure optimized by DFT (GGA+U) and CuKα.

Main lines, most intense first (15 to 90 degrees two-theta):
| 2theta | d_spacing | I/Imax |
| --- | --- | --- |
| 42.69 | 2.118 | 100 |
| 61.63 | 1.505 | 54 |
| 42.26 | 2.139 | 49 |
| 23.44 | 3.796 | 29 |
| 61.96 | 1.498 | 28 |
| 77.87 | 1.227 | 24 |
| 36.63 | 2.453 | 20 |
| 31.65 | 2.827 | 18 |
| 74.18 | 1.278 | 8 |
| 49.27 | 1.850 | 7 |
| 62.52 | 1.486 | 6 |
| 38.04 | 2.365 | 5 |

Structural model:
abc: 4.236 4.236 8.555
angles: 90.00 90.00 90.00
Fractional coordinates of all 16 atoms:
Li 0.000 0.000 0.000
Mg 0.000 0.500 0.237
Mg 0.000 0.500 0.763
Mg 0.500 0.000 0.237
Mg 0.500 0.000 0.763
Mg 0.500 0.500 0.000
Mg 0.500 0.500 0.500
Fe 0.000 0.000 0.500
O 0.000 0.000 0.269
O 0.000 0.000 0.731
O 0.000 0.500 0.000
O 0.000 0.500 0.500
O 0.500 0.000 0.000
O 0.500 0.000 0.500
O 0.500 0.500 0.254
O 0.500 0.500 0.746

Diffraction record for LiMg6FeO8. The PXRD pattern is calculated, not measured: it uses a structure optimized by DFT (GGA+U) and CuKα.

Main lines, most intense first (15 to 90 degrees two-theta):
| 2theta | d_spacing | I/Imax |
| --- | --- | --- |
| 42.90 | 2.108 | 100 |
| 61.80 | 1.501 | 57 |
| 42.27 | 2.138 | 52 |
| 23.53 | 3.782 | 29 |
| 62.28 | 1.491 | 28 |
| 78.17 | 1.223 | 25 |
| 36.75 | 2.446 | 20 |
| 21.07 | 4.216 | 17 |
| 29.76 | 3.002 | 14 |
| 74.55 | 1.273 | 8 |
| 49.50 | 1.841 | 7 |
| 53.08 | 1.725 | 5 |

Structural model:
abc: 4.216 4.216 8.553
angles: 90.00 90.00 90.00
Fractional coordinates of all 16 atoms:
Li 0.000 0.000 0.000
Mg 0.000 0.000 0.500
Mg 0.000 0.500 0.247
Mg 0.000 0.500 0.753
Mg 0.500 0.000 0.247
Mg 0.500 0.000 0.753
Mg 0.500 0.500 0.500
Fe 0.500 0.500 0.000
O 0.000 0.000 0.257
O 0.000 0.000 0.743
O 0.000 0.500 0.000
O 0.000 0.500 0.500
O 0.500 0.000 0.000
O 0.500 0.000 0.500
O 0.500 0.500 0.241
O 0.500 0.500 0.759

Diffraction record for Li4Mn2Nb3Fe3O16. The PXRD pattern is calculated, not measured: it uses a structure optimized by DFT (GGA+U) and CuKα.

Main lines, most intense first (15 to 90 degrees two-theta):
| 2theta | d_spacing | I/Imax |
| --- | --- | --- |
| 17.89 | 4.959 | 100 |
| 19.05 | 4.659 | 51 |
| 35.13 | 2.555 | 47 |
| 34.31 | 2.614 | 37 |
| 18.87 | 4.703 | 36 |
| 61.22 | 1.514 | 26 |
| 34.91 | 2.570 | 26 |
| 43.46 | 2.082 | 26 |
| 57.64 | 1.599 | 26 |
| 44.07 | 2.055 | 24 |
| 24.42 | 3.646 | 19 |
| 58.48 | 1.578 | 19 |

Structural model:
abc: 6.059 6.059 9.922
angles: 91.32 91.32 61.09
Fractional coordinates of all 28 atoms:
Li 0.000 0.000 0.000
Li 0.007 0.007 0.505
Li 0.359 0.359 0.409
Li 0.687 0.687 0.883
Mn 0.369 0.369 0.995
Mn 0.692 0.692 0.502
Nb 0.190 0.190 0.721
Nb 0.365 0.865 0.220
Nb 0.865 0.365 0.220
Fe 0.195 0.680 0.719
Fe 0.680 0.195 0.719
Fe 0.853 0.853 0.226
O 0.019 0.019 0.817
O 0.035 0.035 0.325
O 0.051 0.499 0.836
O 0.185 0.185 0.112
O 0.188 0.710 0.118
O 0.336 0.863 0.604
O 0.348 0.348 0.607
O 0.499 0.051 0.836
O 0.505 0.505 0.833
O 0.535 0.993 0.346
O 0.549 0.549 0.347
O 0.677 0.677 0.106
O 0.710 0.188 0.118
O 0.851 0.851 0.607
O 0.863 0.336 0.604
O 0.993 0.535 0.346